[1]
Starting from a crystal structure in Alexandria, relaxed with PBE, the X-ray powder pattern of KTl3Hg6 was simulated for copper Kα.
Kinematic intensities with the Lorentz-polarization factor, no thermal factor.

Structure:
a = 9.4233 Å, b = 12.1546 Å, c = 5.3867 Å
α = 90.00°, β = 90.00°, γ = 90.00°
Element x y z (fractional)
1 K 0.0000 0.0000 0.0000
2 K 0.5000 0.5000 0.5000
3 Tl 0.0000 0.5000 0.5000
4 Tl 0.2024 0.4604 0.0000
5 Tl 0.2976 0.9604 0.5000
6 Tl 0.5000 0.0000 0.0000
7 Tl 0.7024 0.0396 0.5000
8 Tl 0.7976 0.5396 0.0000
9 Hg 0.0607 0.7169 0.0000
10 Hg 0.0805 0.1777 0.5000
11 Hg 0.2285 0.6979 0.5000
12 Hg 0.2715 0.1979 0.0000
13 Hg 0.4195 0.6777 0.0000
14 Hg 0.4393 0.2169 0.5000
15 Hg 0.5607 0.7831 0.5000
16 Hg 0.5805 0.3223 0.0000
17 Hg 0.7285 0.8021 0.0000
18 Hg 0.7715 0.3021 0.5000
19 Hg 0.9195 0.8223 0.5000
20 Hg 0.9393 0.2831 0.0000

Most intense lines, 15° ≤ 2θ ≤ 90°, sorted by position:
29.1 deg, intensity 22; 30.9 deg, intensity 45; 33.3 deg, intensity 62; 33.6 deg, intensity 100; 33.8 deg, intensity 89; 36.3 deg, intensity 28; 46.1 deg, intensity 30; 59.6 deg, intensity 20

=====

[2]
Starting from a crystal structure in Alexandria, relaxed with PBE, the X-ray powder pattern of KTlHg2 was simulated for copper Kα.
Kinematic intensities with the Lorentz-polarization factor, no thermal factor.

Structure:
a = 3.7887 Å, b = 4.3882 Å, c = 7.5954 Å
α = 90.00°, β = 90.08°, γ = 90.00°
Element x y z (fractional)
1 K 0.0000 0.0000 0.0000
2 Tl 0.0000 0.0000 0.5000
3 Hg 0.4963 0.5000 0.7227
4 Hg 0.5037 0.5000 0.2773

Most intense lines, 15° ≤ 2θ ≤ 90°, sorted by position:
31.2 deg, intensity 100; 33.4 deg, intensity 51; 41.1 deg, intensity 20; 42.9 deg, intensity 10; 54.0 deg, intensity 21; 58.3 deg, intensity 21; 68.8 deg, intensity 11; 70.1 deg, intensity 9

=====

[3]
Starting from a crystal structure in Alexandria, relaxed with PBE, the X-ray powder pattern of KTl6Hg was simulated for copper Kα.
Kinematic intensities with the Lorentz-polarization factor, no thermal factor.

Structure:
a = 5.0706 Å, b = 8.1982 Å, c = 8.1982 Å
α = 49.79°, β = 90.00°, γ = 90.00°
Element x y z (fractional)
1 K 0.0000 0.0000 0.0000
2 Tl 0.0000 0.4944 0.9634
3 Tl 0.0000 0.9634 0.4944
4 Tl 0.5000 0.1135 0.6239
5 Tl 0.5000 0.1667 0.1667
6 Tl 0.5000 0.5935 0.5935
7 Tl 0.5000 0.6239 0.1135
8 Hg 0.0000 0.4359 0.4359

Most intense lines, 15° ≤ 2θ ≤ 90°, sorted by position:
28.3 deg, intensity 25; 28.5 deg, intensity 34; 29.8 deg, intensity 64; 33.6 deg, intensity 100; 35.4 deg, intensity 36; 46.1 deg, intensity 19; 62.4 deg, intensity 17; 65.4 deg, intensity 19